For Ca4Mn3B3CO15, a cell relaxed with PBE+U gives the theoretical powder diffraction line list in this record (CuKα).
Lines closer than 0.1° are merged.

Largest 12 diffraction maxima, sorted by position, 15 to 90 degrees two-theta:
2θ (°)  I (rel.)  h k l
17.62  15  1 0 1
19.10  63  2 0 0
29.48  43  1 2 1
32.54  21  3 0 1
33.40  63  2 2 0
35.67  100  2 0 2
38.00  18  1 3 1
39.55  17  1 2 2
46.50  20  3 1 2
49.67  47  4 0 2
52.71  17  3 2 2
61.17  37  4 2 2

Crystal structure
a = 10.7324 Å, b = 10.7324 Å, c = 5.9886 Å
α = 90.00°, β = 90.00°, γ = 120.00°
Space group P6_3 (No. 173)
Unique sites:
Ca 0.1313 0.8294 0.0000 (multiplicity 6)
Ca 0.3333 0.6667 0.0047 (multiplicity 2)
Mn 0.0005 0.5003 0.2506 (multiplicity 6)
B 0.2168 0.7699 0.5005 (multiplicity 6)
C 0.0000 0.0000 0.3155 (multiplicity 2)
O 0.0500 0.9119 0.3194 (multiplicity 6)
O 0.0839 0.3997 0.5025 (multiplicity 6)
O 0.0958 0.4743 0.0001 (multiplicity 6)
O 0.1665 0.6994 0.7046 (multiplicity 6)
O 0.1701 0.6987 0.2965 (multiplicity 6)